The following is a calculated XRD peak list of VPH6C2N3O7. It was derived from a DFT-relaxed cell (PBE+U, Alexandria), using λ = 1.5418 Å (Cu Kα).
Neutral-atom scattering factors, no anomalous dispersion.

Cell and atoms:
a = 6.275 Å, b = 9.025 Å, c = 9.092 Å
α = 63.91°, β = 78.10°, γ = 71.08°
Space group P-1 (No. 2)
Unique sites:
V: 0.167 0.155 0.041 x2
P: 0.337 0.894 0.874 x2
H: 0.161 0.548 0.569 x2
H: 0.231 0.693 0.374 x2
H: 0.272 0.248 0.631 x2
H: 0.420 0.182 0.475 x2
H: 0.455 0.585 0.176 x2
H: 0.471 0.641 0.762 x2
C: 0.011 0.534 0.906 x2
C: 0.337 0.440 0.408 x2
N: 0.228 0.572 0.451 x2
N: 0.339 0.280 0.512 x2
N: 0.444 0.466 0.259 x2
O: 0.056 0.304 0.173 x2
O: 0.095 0.427 0.842 x2
O: 0.148 0.803 0.980 x2
O: 0.209 0.974 0.198 x2
O: 0.255 0.084 0.865 x2
O: 0.389 0.891 0.707 x2
O: 0.456 0.204 0.015 x2

Largest 10 diffraction maxima, in order of falling intensity, 2θ = 15–90°:
d = 4.761 Å, rel. 100, hkl 0 1 -1
d = 3.105 Å, rel. 97, hkl 2 1 1
d = 3.647 Å, rel. 40, hkl 0 2 2
d = 4.968 Å, rel. 27, hkl 1 0 1
d = 5.470 Å, rel. 24, hkl 1 1 0
d = 3.049 Å, rel. 23, hkl 2 1 0
d = 2.825 Å, rel. 21, hkl 0 2 3
d = 2.206 Å, rel. 17, hkl 0 2 4
d = 3.945 Å, rel. 17, hkl 1 1 -1
d = 4.010 Å, rel. 16, hkl 1 1 2


The following is a calculated XRD peak list of Ca3Mo2O7. It was derived from a DFT-relaxed cell (PBE+U, Alexandria), using λ = 1.5418 Å (Cu Kα).
Neutral-atom scattering factors, no anomalous dispersion.

Cell and atoms:
a = 19.626 Å, b = 5.590 Å, c = 5.806 Å
α = 90.00°, β = 90.00°, γ = 90.00°
Space group Cmc2_1 (No. 36)
Unique sites:
Ca: 0.000 0.241 0.000 x4
Ca: 0.190 0.242 0.886 x8
Mo: 0.101 0.251 0.445 x8
O: 0.000 0.353 0.401 x4
O: 0.080 0.050 0.755 x8
O: 0.120 0.450 0.138 x8
O: 0.200 0.159 0.481 x8

Largest 10 diffraction maxima, in order of falling intensity, 2θ = 15–90°:
d = 2.811 Å, rel. 100, hkl 5 1 1
d = 3.945 Å, rel. 38, hkl 1 1 1
d = 2.903 Å, rel. 32, hkl 0 0 2
d = 2.014 Å, rel. 31, hkl 0 2 2
d = 2.795 Å, rel. 29, hkl 0 2 0
d = 1.617 Å, rel. 27, hkl 5 3 1
d = 4.907 Å, rel. 26, hkl 4 0 0
d = 1.963 Å, rel. 17, hkl 10 0 0
d = 1.658 Å, rel. 16, hkl 5 1 3
d = 1.405 Å, rel. 14, hkl 10 2 2